[1]
Diffraction record for Rb6CdAu4. The powder diffraction line list is calculated, not measured: it uses a crystal structure in Alexandria, relaxed with GGA-PBE and Cu Ka.
No peak broadening, texture or thermal motion is included.

Structure:
```
Rb6CdAu4
1.0
11.3033 0.0000 0.0000
-5.6517 9.7890 0.0000
0.0000 0.0000 8.4515
Rb Cd Au
12 2 8
direct
0.0574 0.5287 0.0000 Rb
0.1383 0.2766 0.3316 Rb
0.1383 0.8617 0.3316 Rb
0.2766 0.1383 0.8316 Rb
0.4713 0.5287 0.0000 Rb
0.4713 0.9426 0.0000 Rb
0.5287 0.0574 0.5000 Rb
0.5287 0.4713 0.5000 Rb
0.7234 0.8617 0.3316 Rb
0.8617 0.1383 0.8316 Rb
0.8617 0.7234 0.8316 Rb
0.9426 0.4713 0.5000 Rb
0.3333 0.6667 0.6193 Cd
0.6667 0.3333 0.1193 Cd
0.1936 0.3871 0.7247 Au
0.1936 0.8064 0.7247 Au
0.3333 0.6667 0.2818 Au
0.3871 0.1936 0.2247 Au
0.6129 0.8064 0.7247 Au
0.6667 0.3333 0.7818 Au
0.8064 0.1936 0.2247 Au
0.8064 0.6129 0.2247 Au
```

Most intense lines, 2θ = 15–90°, sorted by position:
2θ = 18.1°, intensity 32; 2θ = 21.0°, intensity 98; 2θ = 26.3°, intensity 64; 2θ = 27.9°, intensity 98; 2θ = 29.3°, intensity 58; 2θ = 31.7°, intensity 100; 2θ = 33.1°, intensity 29; 2θ = 36.8°, intensity 56; 2θ = 38.3°, intensity 37; 2θ = 52.1°, intensity 26



[2]
Diffraction record for Sc5ZnSe4. The powder diffraction line list is calculated, not measured: it uses a crystal structure in Alexandria, relaxed with GGA-PBE and Cu Ka.
No peak broadening, texture or thermal motion is included.

Structure:
```
Sc5ZnSe4
1.0
-4.3290 4.3290 2.7414
4.3290 -4.3290 2.7414
4.3290 4.3290 -2.7414
Sc Zn Se
5 1 4
direct
0.0000 0.0000 0.0000 Sc
0.2049 0.5981 0.8030 Sc
0.4019 0.2049 0.6068 Sc
0.5981 0.7951 0.3932 Sc
0.7951 0.4019 0.1970 Sc
0.5000 0.5000 0.0000 Zn
0.0977 0.3018 0.3995 Se
0.3018 0.9023 0.2041 Se
0.6982 0.0977 0.7959 Se
0.9023 0.6982 0.6005 Se
```

Most intense lines, 2θ = 15–90°, sorted by position:
2θ = 28.2°, intensity 14; 2θ = 32.7°, intensity 100; 2θ = 46.9°, intensity 69; 2θ = 55.6°, intensity 7; 2θ = 58.4°, intensity 23; 2θ = 68.4°, intensity 4; 2θ = 68.5°, intensity 7; 2θ = 75.7°, intensity 3; 2θ = 78.0°, intensity 29; 2θ = 87.2°, intensity 22



[3]
Diffraction record for Li4TlPb2. The powder diffraction line list is calculated, not measured: it uses a crystal structure in Alexandria, relaxed with GGA-PBE and Cu Ka.
No peak broadening, texture or thermal motion is included.

Structure:
```
Li4TlPb2
1.0
-3.5072 3.5072 3.3830
3.5072 -3.5072 3.3830
3.5072 3.5072 -3.3830
Li Tl Pb
4 1 2
direct
0.0000 0.0000 0.5000 Li
0.0000 0.5000 0.0000 Li
0.5000 0.0000 0.0000 Li
0.5000 0.5000 0.5000 Li
0.0000 0.0000 0.0000 Tl
0.0000 0.5000 0.5000 Pb
0.5000 0.0000 0.5000 Pb
```

Most intense lines, 2θ = 15–90°, sorted by position:
2θ = 17.9°, intensity 28; 2θ = 18.2°, intensity 51; 2θ = 25.4°, intensity 100; 2θ = 26.3°, intensity 46; 2θ = 31.4°, intensity 27; 2θ = 36.2°, intensity 47; 2θ = 36.9°, intensity 89; 2θ = 45.3°, intensity 44; 2θ = 58.9°, intensity 21; 2θ = 65.6°, intensity 34